1.
The following is a simulated powder diffractogram of MgCo6O8F4. It was derived from a GGA+U-relaxed structure, using copper Kα.
No peak broadening, texture or thermal motion is included.

Top 12 peaks for 2θ = 10–80°, sorted by position:
(hkl)	2theta	d [Å]	I (rel.)
1 -1 0	23.61	3.768	100
1 1 0	28.45	3.137	69
0 1 -3	35.96	2.497	42
0 1 3	36.41	2.468	42
0 2 0	37.29	2.411	26
2 -2 0	48.30	1.884	20
-2 1 3	50.13	1.820	16
2 -1 3	50.39	1.811	31
2 1 -3	55.10	1.667	23
2 1 3	56.04	1.641	22
0 0 6	64.34	1.448	20
0 3 3	66.97	1.397	18

Cell and atoms:
```
data_MgCo6O8F4
_cell_length_a 4.8999
_cell_length_b 4.9068
_cell_length_c 8.6877
_cell_angle_alpha 90.72
_cell_angle_beta 90.55
_cell_angle_gamma 100.44
_space_group_name_H-M_alt 'P -1'
_space_group_IT_number 2
loop_
_space_group_symop_operation_xyz
'x,y,z'
'-x,-y,-z'
loop_
_atom_site_label
_atom_site_type_symbol
_atom_site_fract_x
_atom_site_fract_y
_atom_site_fract_z
_atom_site_occupancy
Mg1 Mg 0.0000 0.0000 0.0000 1
Co1 Co 0.0000 0.5000 0.5000 1
Co2 Co 0.0355 0.4726 0.8265 1
Co3 Co 0.4900 0.0153 0.6733 1
Co4 Co 0.5000 0.0000 0.0000 1
O1 O 0.1874 0.6970 0.3351 1
O2 O 0.1977 0.6856 0.0029 1
O3 O 0.2134 0.6821 0.6655 1
O4 O 0.3046 0.1583 0.8474 1
F1 F 0.2731 0.1702 0.1677 1
F2 F 0.3183 0.1786 0.5007 1
```

2.
The following is a simulated powder diffractogram of Li3Fe8B8O24. It was derived from a GGA+U-relaxed structure, using copper Kα.
No peak broadening, texture or thermal motion is included.

Top 12 peaks for 2θ = 10–80°, sorted by position:
(hkl)	2theta	d [Å]	I (rel.)
1 1 1	19.45	4.564	35
0 2 1	19.68	4.510	68
1 -1 1	21.47	4.138	100
0 2 2	21.55	4.123	20
1 1 -1	26.00	3.428	56
1 -1 2	26.41	3.374	42
2 0 1	33.88	2.646	22
-1 3 1	34.30	2.614	55
0 0 4	35.21	2.549	73
2 2 1	40.36	2.235	32
0 4 1	40.99	2.202	21
1 1 6	49.22	1.851	28

Cell and atoms:
```
data_Li3Fe8B8O24
_cell_length_a 5.2929
_cell_length_b 9.0198
_cell_length_c 11.4150
_cell_angle_alpha 66.77
_cell_angle_beta 77.52
_cell_angle_gamma 89.93
_space_group_name_H-M_alt 'P 1'
_space_group_IT_number 1
loop_
_space_group_symop_operation_xyz
'x,y,z'
loop_
_atom_site_label
_atom_site_type_symbol
_atom_site_fract_x
_atom_site_fract_y
_atom_site_fract_z
_atom_site_occupancy
Li1 Li 0.0000 0.0000 0.0000 1
Li2 Li 0.1791 0.8590 0.2611 1
Li3 Li 0.7310 0.7191 0.5211 1
Fe1 Fe 0.1735 0.5023 0.2892 1
Fe2 Fe 0.2220 0.8880 0.5394 1
Fe3 Fe 0.4195 0.4310 0.7860 1
Fe4 Fe 0.4810 0.7995 0.0373 1
Fe5 Fe 0.6589 0.0240 0.2805 1
Fe6 Fe 0.7173 0.3772 0.5361 1
Fe7 Fe 0.9094 0.9216 0.7890 1
Fe8 Fe 0.9716 0.3150 0.0254 1
B1 B 0.1673 0.1764 0.2825 1
B2 B 0.2193 0.5559 0.5279 1
B3 B 0.4354 0.7675 0.7789 1
B4 B 0.4571 0.1343 0.0369 1
B5 B 0.6775 0.6705 0.2976 1
B6 B 0.7112 0.0455 0.5386 1
B7 B 0.9144 0.2622 0.7864 1
B8 B 0.9756 0.6401 0.0392 1
O1 O 0.0004 0.1112 0.8108 1
O2 O 0.0208 0.3645 0.8307 1
O3 O 0.1005 0.4473 0.4927 1
O4 O 0.1050 0.6957 0.5244 1
O5 O 0.1774 0.6258 0.1019 1
O6 O 0.2051 0.8143 0.7343 1
O7 O 0.2611 0.0203 0.3345 1
O8 O 0.2762 0.3013 0.2965 1
O9 O 0.3210 0.9905 0.0615 1
O10 O 0.3481 0.2793 0.9915 1
O11 O 0.4423 0.6795 0.2586 1
O12 O 0.4570 0.5282 0.5623 1
O13 O 0.5384 0.8630 0.8316 1
O14 O 0.5540 0.6439 0.7619 1
O15 O 0.6024 0.9362 0.4980 1
O16 O 0.6079 0.1832 0.5307 1
O17 O 0.7049 0.1311 0.0639 1
O18 O 0.7115 0.3096 0.7238 1
O19 O 0.7881 0.5219 0.3352 1
O20 O 0.7983 0.8035 0.3003 1
O21 O 0.8691 0.5144 0.0238 1
O22 O 0.8838 0.7949 0.9904 1
O23 O 0.9336 0.0018 0.5878 1
O24 O 0.9670 0.1891 0.2198 1
```

3.
The following is a simulated powder diffractogram of Sm3MoO7. It was derived from a GGA+U-relaxed structure, using copper Kα.
No peak broadening, texture or thermal motion is included.

Top 12 peaks for 2θ = 10–80°, sorted by position:
(hkl)	2theta	d [Å]	I (rel.)
1 2 0	26.12	3.412	10
0 2 2	28.69	3.111	88
2 0 2	28.81	3.099	100
2 2 0	33.27	2.693	46
0 0 4	33.42	2.681	21
3 2 0	42.89	2.109	11
1 1 5	45.50	1.993	14
4 0 0	47.89	1.900	61
1 4 2	52.25	1.751	9
2 4 2	56.61	1.626	14
4 2 2	56.82	1.620	33
6 0 2	77.48	1.232	12

Cell and atoms:
```
data_Sm3MoO7
_cell_length_a 7.5939
_cell_length_b 7.6393
_cell_length_c 10.7260
_cell_angle_alpha 90.00
_cell_angle_beta 90.00
_cell_angle_gamma 90.00
_space_group_name_H-M_alt 'P 21 21 21'
_space_group_IT_number 19
loop_
_space_group_symop_operation_xyz
'x,y,z'
'-x+1/2,-y,z+1/2'
'x+1/2,-y+1/2,-z'
'-x,y+1/2,-z+1/2'
loop_
_atom_site_label
_atom_site_type_symbol
_atom_site_fract_x
_atom_site_fract_y
_atom_site_fract_z
_atom_site_occupancy
Sm1 Sm 0.0041 0.0299 0.2844 1
Sm2 Sm 0.0036 0.5501 0.7655 1
Sm3 Sm 0.2380 0.2142 0.0075 1
Mo1 Mo 0.2501 0.2528 0.4988 1
O1 O 0.0028 0.6585 0.9925 1
O2 O 0.0042 0.2886 0.8654 1
O3 O 0.0181 0.7456 0.3676 1
O4 O 0.1991 0.3690 0.3477 1
O5 O 0.2119 0.9223 0.1308 1
O6 O 0.2122 0.9684 0.8815 1
O7 O 0.2179 0.4558 0.6160 1
```

4.
The following is a simulated powder diffractogram of Li2CrP2O7. It was derived from a GGA+U-relaxed structure, using copper Kα.
No peak broadening, texture or thermal motion is included.

Top 12 peaks for 2θ = 10–80°, sorted by position:
(hkl)	2theta	d [Å]	I (rel.)
0 2 1	17.08	5.192	100
1 1 -2	22.25	3.996	20
0 0 2	22.40	3.968	72
1 2 0	23.99	3.710	33
1 2 -2	24.96	3.567	23
1 2 1	30.60	2.921	32
1 2 -3	32.15	2.784	31
1 4 0	33.10	2.706	22
0 1 3	34.47	2.602	16
2 0 -2	35.23	2.547	19
1 0 2	37.28	2.412	14
1 2 2	39.61	2.275	23

Cell and atoms:
```
data_Li2CrP2O7
_cell_length_a 5.1041
_cell_length_b 13.7093
_cell_length_c 9.1995
_cell_angle_alpha 90.00
_cell_angle_beta 120.20
_cell_angle_gamma 90.00
_space_group_name_H-M_alt 'P 1 21/c 1'
_space_group_IT_number 14
loop_
_space_group_symop_operation_xyz
'x,y,z'
'-x,-y,-z'
'-x,y+1/2,-z+1/2'
'x,-y+1/2,z+1/2'
loop_
_atom_site_label
_atom_site_type_symbol
_atom_site_fract_x
_atom_site_fract_y
_atom_site_fract_z
_atom_site_occupancy
Li1 Li 0.0504 0.1006 0.3587 1
Li2 Li 0.4313 0.1975 0.1710 1
Cr1 Cr 0.0288 0.1532 0.7413 1
P1 P 0.2613 0.6734 0.5300 1
P2 P 0.4881 0.5249 0.7763 1
O1 O 0.0123 0.1829 0.1473 1
O2 O 0.2027 0.7214 0.6633 1
O3 O 0.2421 0.5305 0.8268 1
O4 O 0.2575 0.1019 0.6277 1
O5 O 0.3124 0.5583 0.5767 1
O6 O 0.3878 0.5755 0.2189 1
O7 O 0.4405 0.2107 0.9534 1
```

5.
The following is a simulated powder diffractogram of TiMn3O8. It was derived from a GGA+U-relaxed structure, using copper Kα.
No peak broadening, texture or thermal motion is included.

Top 12 peaks for 2θ = 10–80°, sorted by position:
(hkl)	2theta	d [Å]	I (rel.)
0 0 3	18.37	4.830	48
1 0 1	18.66	4.756	100
0 1 5	35.75	2.512	12
1 1 3	36.06	2.491	23
0 2 1	36.22	2.480	15
2 0 2	37.83	2.378	8
0 2 4	43.79	2.067	73
0 2 7	57.65	1.599	7
1 2 5	57.98	1.591	10
2 0 8	63.25	1.470	19
2 2 0	64.07	1.453	19
2 2 3	67.27	1.392	6

Cell and atoms:
```
data_TiMn3O8
_cell_length_a 5.8136
_cell_length_b 5.8136
_cell_length_c 14.4908
_cell_angle_alpha 90.00
_cell_angle_beta 90.00
_cell_angle_gamma 120.00
_space_group_name_H-M_alt 'R -3 m'
_space_group_IT_number 166
_space_group_name_Hall '-R 3 2"'
loop_
_atom_site_label
_atom_site_type_symbol
_atom_site_fract_x
_atom_site_fract_y
_atom_site_fract_z
_atom_site_occupancy
Ti1 Ti 0.0000 0.0000 0.0000 1
Mn1 Mn 0.0000 0.5000 0.5000 1
O1 O 0.0000 0.0000 0.2340 1
O2 O 0.0359 0.5180 0.7567 1
```

6.
The following is a simulated powder diffractogram of EuMn4Cu3O12. It was derived from a GGA+U-relaxed structure, using copper Kα.
No peak broadening, texture or thermal motion is included.

Top 12 peaks for 2θ = 10–80°, sorted by position:
(hkl)	2theta	d [Å]	I (rel.)
1 1 0	16.85	5.262	12
2 0 0	23.91	3.721	5
2 1 1	29.40	3.038	4
2 2 0	34.08	2.631	100
3 0 1	38.24	2.353	10
2 2 2	42.06	2.148	6
3 1 2	45.61	1.989	10
4 0 0	48.96	1.860	24
4 2 2	60.99	1.519	47
4 3 1	63.77	1.459	3
4 4 0	71.75	1.316	12
5 2 3	79.37	1.207	3

Cell and atoms:
```
data_EuMn4Cu3O12
_cell_length_a 7.4420
_cell_length_b 7.4420
_cell_length_c 7.4420
_cell_angle_alpha 90.00
_cell_angle_beta 90.00
_cell_angle_gamma 90.00
_space_group_name_H-M_alt 'I m -3'
_space_group_IT_number 204
_space_group_name_Hall '-I 2 2 3'
loop_
_atom_site_label
_atom_site_type_symbol
_atom_site_fract_x
_atom_site_fract_y
_atom_site_fract_z
_atom_site_occupancy
Eu1 Eu 0.0000 0.0000 0.0000 1
Mn1 Mn 0.2500 0.2500 0.2500 1
Cu1 Cu 0.0000 0.0000 0.5000 1
O1 O 0.0000 0.3081 0.1711 1
```